Ba2Y2FeCo2CuO10: calculated powder X-ray diffraction pattern (Cu Ka), based on a cell relaxed with GGA+U.
Kinematic intensities with the Lorentz-polarization factor, no thermal factor.

```
data_Ba2Y2FeCo2CuO10
_chemical_formula_sum 'Ba2 Y2 Fe1 Co2 Cu1 O10'
_cell_length_a 8.7120
_cell_length_b 8.7120
_cell_length_c 8.7120
_cell_angle_alpha 142.91
_cell_angle_beta 142.91
_cell_angle_gamma 53.47
_space_group_name_H-M_alt 'P 1'
_space_group_IT_number 1
_space_group_name_Hall 'P 1'
loop_
_atom_site_label
_atom_site_type_symbol
_atom_site_fract_x
_atom_site_fract_y
_atom_site_fract_z
Ba1 Ba 0.0000 0.5000 0.5000
Ba2 Ba 0.5000 0.0000 0.5000
Y1 Y 0.2516 0.7516 0.5000
Y2 Y 0.7516 0.2516 0.5000
Fe1 Fe 0.3716 0.3716 0.0000
Co1 Co 0.1275 0.1275 0.0000
Co2 Co 0.6454 0.6454 0.0000
Cu1 Cu 0.8574 0.8574 0.0000
O1 O 0.0079 0.0079 0.0000
O2 O 0.0955 0.0955 0.5065
O3 O 0.0955 0.5890 0.0000
O4 O 0.4139 0.4139 0.5081
O5 O 0.4139 0.9058 0.0000
O6 O 0.4936 0.4936 0.0000
O7 O 0.5890 0.0955 0.0000
O8 O 0.5890 0.5890 0.4935
O9 O 0.9058 0.4139 0.0000
O10 O 0.9058 0.9058 0.4919
```

The 8 most intense peaks (2θ from 10° to 90°), in order of rising 2θ:
2θ = 32.31°, I 43
2θ = 32.43°, I 100
2θ = 39.94°, I 14
2θ = 46.34°, I 31
2θ = 57.69°, I 37
2θ = 57.92°, I 20
2θ = 67.90°, I 11
2θ = 76.97°, I 15